# PmPr3Sm5
Calculated XRD peak list, λ = 1.5418 Å (Cu Kα). Input: a crystal structure in Alexandria, relaxed with PBE.

Largest 10 diffraction maxima, in order of rising 2θ, 10° ≤ 2θ ≤ 80°:
- 21.09°, rel. 45
- 25.58°, rel. 41
- 28.60°, rel. 47
- 30.15°, rel. 100
- 30.64°, rel. 40
- 30.92°, rel. 68
- 31.19°, rel. 51
- 31.63°, rel. 56
- 35.37°, rel. 29
- 36.27°, rel. 23

Structure:
Cell lengths 9.478, 9.478, 12.441 Å; angles 126.10, 126.10, 52.77 degrees
Sites, in units of the cell vectors:
Pm (0.112, 0.112, 0.372)
Pm (0.888, 0.888, 0.628)
Pr (0.000, 0.000, 0.000)
Pr (0.000, 0.000, 0.500)
Pr (0.159, 0.159, 0.856)
Pr (0.299, 0.299, 0.198)
Pr (0.701, 0.701, 0.802)
Pr (0.841, 0.841, 0.144)
Sm (0.094, 0.482, 0.726)
Sm (0.318, 0.682, 0.500)
Sm (0.360, 0.360, 0.552)
Sm (0.445, 0.445, 0.082)
Sm (0.482, 0.094, 0.726)
Sm (0.518, 0.906, 0.274)
Sm (0.555, 0.555, 0.918)
Sm (0.640, 0.640, 0.448)
Sm (0.682, 0.318, 0.500)
Sm (0.906, 0.518, 0.274)